Computed powder XRD pattern
Compound: V8O
Radiation: Cu Kα X-rays
Structure: a DFT-relaxed cell (PBE+U, Alexandria)
Lines closer than 0.1° are merged.

Cell and atoms:
```
data_V8O
_symmetry_space_group_name_H-M 'P 42/m n m'
_symmetry_Int_Tables_number 136
_symmetry_space_group_name_Hall '-P 4n 2n'
_cell_length_a 9.1440
_cell_length_b 9.1440
_cell_length_c 3.0806
_cell_angle_alpha 90.00
_cell_angle_beta 90.00
_cell_angle_gamma 90.00
loop_
_atom_site_label
_atom_site_type_symbol
_atom_site_fract_x
_atom_site_fract_y
_atom_site_fract_z
V1 V 0.1091 0.3777 0.0000
V2 V 0.1178 0.1178 0.5000
V3 V 0.1578 0.8422 0.0000
O1 O 0.0000 0.0000 0.0000
```

Peak list (10 most intense, 15° ≤ 2θ ≤ 90°, in order of falling intensity)
- hkl 2 2 1, d = 2.230 Å, 40.4 deg, I = 100
- hkl 4 0 0, d = 2.286 Å, 39.4 deg, I = 44
- hkl 6 2 1, d = 1.309 Å, 72.2 deg, I = 20
- hkl 4 4 0, d = 1.616 Å, 57.0 deg, I = 13
- hkl 4 0 2, d = 1.277 Å, 74.2 deg, I = 12
- hkl 0 0 2, d = 1.540 Å, 60.1 deg, I = 8
- hkl 4 4 2, d = 1.115 Å, 87.5 deg, I = 7
- hkl 4 1 0, d = 2.218 Å, 40.7 deg, I = 6
- hkl 3 2 1, d = 1.958 Å, 46.4 deg, I = 5
- hkl 6 1 1, d = 1.351 Å, 69.6 deg, I = 3